1.
Diffraction record for Th2Br2N. The powder X-ray diffraction pattern is calculated, not measured: it uses a DFT-relaxed cell (GGA-PBE, the Materials Project) and λ = 1.5418 Å (Cu Kα).
Peak positions follow from Bragg's law for the DFT cell and can differ from measured ones.

The 12 most intense peaks (10° ≤ 2θ ≤ 80°), in order of rising 2θ:
| Position (°2θ) | I (rel.) |
| --- | --- |
| 13.2 | 13.7 |
| 22.4 | 100.0 |
| 26.5 | 18.3 |
| 30.1 | 17.8 |
| 31.9 | 41.1 |
| 35.0 | 35.9 |
| 41.9 | 21.9 |
| 45.7 | 15.2 |
| 46.5 | 19.6 |
| 51.5 | 21.5 |
| 52.2 | 14.0 |
| 58.8 | 16.4 |

Atomic structure:
a b c (Å): 3.969 3.969 13.450
angles (deg): 90.00 90.00 90.00
Fractional positions:
Th: 0.000 0.000 0.154
Th: 0.000 0.000 0.846
Br: 0.000 0.000 0.357
Br: 0.000 0.000 0.643
N: 0.000 0.000 0.000

2.
Diffraction record for TlBr4N. The powder X-ray diffraction pattern is calculated, not measured: it uses a DFT-relaxed cell (GGA-PBE, the Materials Project) and λ = 1.5418 Å (Cu Kα).
Peak positions follow from Bragg's law for the DFT cell and can differ from measured ones.

The 12 most intense peaks (10° ≤ 2θ ≤ 80°), in order of rising 2θ:
| Position (°2θ) | I (rel.) |
| --- | --- |
| 10.9 | 79.2 |
| 13.7 | 77.5 |
| 19.9 | 100.0 |
| 21.9 | 20.8 |
| 22.1 | 38.0 |
| 25.0 | 92.1 |
| 29.7 | 26.4 |
| 32.7 | 58.2 |
| 33.0 | 29.4 |
| 36.3 | 27.6 |
| 40.2 | 20.9 |
| 42.8 | 24.6 |

Atomic structure:
a b c (Å): 7.410 10.300 13.250
angles (deg): 90.00 90.00 90.00
Fractional positions:
Tl: 0.250 0.000 0.144
Tl: 0.250 0.500 0.356
Tl: 0.750 0.000 0.856
Tl: 0.750 0.500 0.644
Br: 0.000 0.113 0.300
Br: 0.000 0.387 0.200
Br: 0.000 0.613 0.800
Br: 0.000 0.887 0.700
Br: 0.071 0.694 0.435
Br: 0.071 0.806 0.065
Br: 0.429 0.194 0.065
Br: 0.429 0.306 0.435
Br: 0.500 0.113 0.700
Br: 0.500 0.387 0.800
Br: 0.500 0.613 0.200
Br: 0.500 0.887 0.300
Br: 0.571 0.694 0.565
Br: 0.571 0.806 0.935
Br: 0.929 0.194 0.935
Br: 0.929 0.306 0.565
N: 0.143 0.750 0.750
N: 0.357 0.250 0.750
N: 0.643 0.750 0.250
N: 0.857 0.250 0.250

3.
Diffraction record for VBr5N3. The powder X-ray diffraction pattern is calculated, not measured: it uses a DFT-relaxed cell (GGA-PBE, the Materials Project) and λ = 1.5418 Å (Cu Kα).
Peak positions follow from Bragg's law for the DFT cell and can differ from measured ones.

The 12 most intense peaks (10° ≤ 2θ ≤ 80°), in order of rising 2θ:
| Position (°2θ) | I (rel.) |
| --- | --- |
| 15.4 | 28.6 |
| 15.6 | 26.0 |
| 18.3 | 55.4 |
| 23.5 | 23.5 |
| 25.1 | 24.7 |
| 31.1 | 50.1 |
| 31.4 | 100.0 |
| 31.8 | 62.3 |
| 32.6 | 55.5 |
| 34.5 | 63.9 |
| 37.1 | 31.7 |
| 48.2 | 33.2 |

Atomic structure:
a b c (Å): 13.596 10.402 6.903
angles (deg): 90.00 90.00 90.00
Fractional positions:
V: 0.090 0.250 0.149
V: 0.410 0.750 0.649
V: 0.590 0.250 0.351
V: 0.910 0.750 0.851
Br: 0.005 0.250 0.461
Br: 0.108 0.016 0.184
Br: 0.108 0.484 0.184
Br: 0.226 0.250 0.921
Br: 0.240 0.750 0.907
Br: 0.260 0.250 0.407
Br: 0.274 0.750 0.421
Br: 0.392 0.516 0.684
Br: 0.392 0.984 0.684
Br: 0.495 0.750 0.961
Br: 0.505 0.250 0.039
Br: 0.608 0.016 0.316
Br: 0.608 0.484 0.316
Br: 0.726 0.250 0.579
Br: 0.740 0.750 0.593
Br: 0.760 0.250 0.093
Br: 0.774 0.750 0.079
Br: 0.892 0.516 0.816
Br: 0.892 0.984 0.816
Br: 0.995 0.750 0.539
N: 0.006 0.750 0.989
N: 0.146 0.501 0.651
N: 0.146 0.999 0.651
N: 0.354 0.001 0.151
N: 0.354 0.499 0.151
N: 0.494 0.250 0.489
N: 0.506 0.750 0.511
N: 0.646 0.501 0.849
N: 0.646 0.999 0.849
N: 0.854 0.001 0.349
N: 0.854 0.499 0.349
N: 0.994 0.250 0.011

4.
Diffraction record for VBr5N3. The powder X-ray diffraction pattern is calculated, not measured: it uses a DFT-relaxed cell (GGA-PBE, the Materials Project) and λ = 1.5418 Å (Cu Kα).
Peak positions follow from Bragg's law for the DFT cell and can differ from measured ones.

The 12 most intense peaks (10° ≤ 2θ ≤ 80°), in order of rising 2θ:
| Position (°2θ) | I (rel.) |
| --- | --- |
| 13.0 | 57.6 |
| 14.3 | 38.9 |
| 17.2 | 27.4 |
| 19.0 | 58.1 |
| 23.9 | 29.7 |
| 25.9 | 41.9 |
| 26.2 | 92.8 |
| 27.4 | 84.7 |
| 28.8 | 100.0 |
| 34.7 | 50.8 |
| 45.3 | 28.7 |
| 54.6 | 26.2 |

Atomic structure:
a b c (Å): 11.369 12.394 8.133
angles (deg): 90.00 90.00 90.00
Fractional positions:
V: 0.095 0.250 0.156
V: 0.405 0.750 0.656
V: 0.595 0.250 0.344
V: 0.905 0.750 0.844
Br: 0.044 0.250 0.443
Br: 0.139 0.030 0.189
Br: 0.139 0.470 0.189
Br: 0.200 0.750 0.944
Br: 0.220 0.250 0.925
Br: 0.280 0.750 0.425
Br: 0.300 0.250 0.444
Br: 0.361 0.530 0.689
Br: 0.361 0.970 0.689
Br: 0.456 0.750 0.943
Br: 0.544 0.250 0.057
Br: 0.639 0.030 0.311
Br: 0.639 0.470 0.311
Br: 0.700 0.750 0.556
Br: 0.720 0.250 0.575
Br: 0.780 0.750 0.075
Br: 0.800 0.250 0.056
Br: 0.861 0.530 0.811
Br: 0.861 0.970 0.811
Br: 0.956 0.750 0.557
N: 0.040 0.750 0.922
N: 0.205 0.509 0.684
N: 0.205 0.991 0.684
N: 0.295 0.009 0.184
N: 0.295 0.491 0.184
N: 0.460 0.250 0.422
N: 0.540 0.750 0.578
N: 0.705 0.509 0.816
N: 0.705 0.991 0.816
N: 0.795 0.009 0.316
N: 0.795 0.491 0.316
N: 0.960 0.250 0.078

5.
Diffraction record for Rb2NaNdBr6. The powder X-ray diffraction pattern is calculated, not measured: it uses a DFT-relaxed cell (GGA-PBE, the Materials Project) and λ = 1.5418 Å (Cu Kα).
Peak positions follow from Bragg's law for the DFT cell and can differ from measured ones.

The 12 most intense peaks (10° ≤ 2θ ≤ 80°), in order of rising 2θ:
| Position (°2θ) | I (rel.) |
| --- | --- |
| 13.2 | 21.7 |
| 15.3 | 20.4 |
| 21.7 | 21.8 |
| 25.5 | 12.9 |
| 26.7 | 70.0 |
| 30.9 | 100.0 |
| 44.2 | 72.6 |
| 52.4 | 30.5 |
| 54.9 | 25.2 |
| 64.4 | 11.7 |
| 70.9 | 12.4 |
| 73.1 | 32.1 |

Atomic structure:
a b c (Å): 8.189 8.189 8.189
angles (deg): 60.00 60.00 60.00
Fractional positions:
Rb: 0.250 0.250 0.250
Rb: 0.750 0.750 0.750
Na: 0.000 0.000 0.000
Nd: 0.500 0.500 0.500
Br: 0.251 0.251 0.749
Br: 0.251 0.749 0.251
Br: 0.251 0.749 0.749
Br: 0.749 0.251 0.251
Br: 0.749 0.251 0.749
Br: 0.749 0.749 0.251